For Li3AsIr, a DFT-relaxed cell (PBE, Alexandria) gives the theoretical powder diffraction line list in this record (Cu Kα (λ = 1.5418 Å)).
No peak broadening, texture or thermal motion is included.

Peak list (6 most intense, 10 to 90 degrees two-theta, by angle)
| two_theta | Rel. int. |
| --- | --- |
| 19.6 | 18 |
| 27.8 | 100 |
| 39.7 | 23 |
| 49.2 | 42 |
| 65.0 | 18 |
| 78.9 | 21 |

Cell and atoms:
Cell: 4.537 4.537 4.537 Å, 90.00 90.00 90.00°
Space group Pm-3m (No. 221)
Symmetry-distinct sites (fractional):
Li 0.000 0.000 0.500
As 0.000 0.000 0.000
Ir 0.500 0.500 0.500